Entry 1:
# Pu3Sb5Pd6
Calculated powder XRD pattern, CuKα. Input: a DFT-relaxed cell (PBE, Alexandria).
Peak positions follow from Bragg's law for the DFT cell and can differ from measured ones.

Atomic structure:
Cell lengths 4.4497, 13.5480, 10.0356 Å; angles 90.00, 90.00, 90.00 degrees
Positions (direct):
Pu 0.2500 0.0762 0.2460
Pu 0.2500 0.4238 0.2460
Pu 0.2500 0.7500 0.2454
Pu 0.7500 0.2500 0.7546
Pu 0.7500 0.5762 0.7540
Pu 0.7500 0.9238 0.7540
Sb 0.2500 0.0831 0.8612
Sb 0.2500 0.4169 0.8612
Sb 0.2500 0.6262 0.5254
Sb 0.2500 0.7500 0.8194
Sb 0.2500 0.8738 0.5254
Sb 0.7500 0.1262 0.4746
Sb 0.7500 0.2500 0.1806
Sb 0.7500 0.3738 0.4746
Sb 0.7500 0.5831 0.1388
Sb 0.7500 0.9169 0.1388
Pd 0.2500 0.0641 0.6005
Pd 0.2500 0.2500 0.0134
Pd 0.2500 0.2500 0.4789
Pd 0.2500 0.4359 0.6005
Pd 0.2500 0.5949 0.9906
Pd 0.2500 0.9051 0.9906
Pd 0.7500 0.0949 0.0094
Pd 0.7500 0.4051 0.0094
Pd 0.7500 0.5641 0.3995
Pd 0.7500 0.7500 0.5211
Pd 0.7500 0.7500 0.9866
Pd 0.7500 0.9359 0.3995

The 10 most intense peaks (2θ = 10–80°), most intense first:
- 2θ = 33.5°, I = 100
- 2θ = 40.5°, I = 24
- 2θ = 39.9°, I = 20
- 2θ = 33.3°, I = 19
- 2θ = 28.2°, I = 15
- 2θ = 58.2°, I = 11
- 2θ = 53.5°, I = 10
- 2θ = 69.3°, I = 9
- 2θ = 53.1°, I = 9
- 2θ = 62.8°, I = 9

Entry 2:
# SrPu2Sb2Pd2
Calculated powder XRD pattern, CuKα. Input: a DFT-relaxed cell (PBE, Alexandria).
Peak positions follow from Bragg's law for the DFT cell and can differ from measured ones.

Atomic structure:
Cell lengths 9.5906, 9.5906, 9.5906 Å; angles 28.47, 28.47, 28.47 degrees
Positions (direct):
Sr 0.0000 0.0000 0.0000
Pu 0.1439 0.1439 0.1439
Pu 0.8561 0.8561 0.8561
Sb 0.2587 0.2587 0.2587
Sb 0.7413 0.7413 0.7413
Pd 0.4411 0.4411 0.4411
Pd 0.5589 0.5589 0.5589

The 10 most intense peaks (2θ = 10–80°), most intense first:
- 2θ = 31.5°, I = 100
- 2θ = 38.2°, I = 90
- 2θ = 39.4°, I = 68
- 2θ = 50.3°, I = 27
- 2θ = 64.9°, I = 26
- 2θ = 69.8°, I = 21
- 2θ = 34.0°, I = 16
- 2θ = 69.0°, I = 16
- 2θ = 56.0°, I = 16
- 2θ = 61.5°, I = 13

Entry 3:
# PuTi2Sb2Pd2
Calculated powder XRD pattern, CuKα. Input: a DFT-relaxed cell (PBE, Alexandria).
Peak positions follow from Bragg's law for the DFT cell and can differ from measured ones.

Atomic structure:
Cell lengths 8.5747, 8.5747, 8.5747 Å; angles 30.38, 30.38, 30.38 degrees
Positions (direct):
Pu 0.0000 0.0000 0.0000
Ti 0.1418 0.1418 0.1418
Ti 0.8582 0.8582 0.8582
Sb 0.2605 0.2605 0.2605
Sb 0.7395 0.7395 0.7395
Pd 0.4433 0.4433 0.4433
Pd 0.5567 0.5567 0.5567

The 10 most intense peaks (2θ = 10–80°), most intense first:
- 2θ = 40.1°, I = 100
- 2θ = 34.5°, I = 92
- 2θ = 27.1°, I = 77
- 2θ = 53.9°, I = 25
- 2θ = 69.3°, I = 23
- 2θ = 47.0°, I = 22
- 2θ = 37.4°, I = 18
- 2θ = 72.9°, I = 17
- 2θ = 49.1°, I = 16
- 2θ = 65.2°, I = 14

Entry 4:
# PuScPd
Calculated powder XRD pattern, CuKα. Input: a DFT-relaxed cell (PBE, Alexandria).
Peak positions follow from Bragg's law for the DFT cell and can differ from measured ones.

Atomic structure:
Cell lengths 10.4572, 9.7244, 5.7087 Å; angles 80.77, 66.62, 32.61 degrees
Positions (direct):
Pu 0.0433 0.0433 0.2067
Pu 0.2067 0.2067 0.0433
Pu 0.7933 0.7933 0.9567
Pu 0.9567 0.9567 0.7933
Sc 0.2032 0.5468 0.2032
Sc 0.4532 0.7968 0.4532
Sc 0.5468 0.2032 0.5468
Sc 0.7968 0.4532 0.7968
Pd 0.2520 0.2520 0.4980
Pd 0.4980 0.4980 0.2520
Pd 0.5020 0.5020 0.7480
Pd 0.7480 0.7480 0.5020

The 10 most intense peaks (2θ = 10–80°), most intense first:
- 2θ = 35.3°, I = 100
- 2θ = 40.5°, I = 79
- 2θ = 34.4°, I = 75
- 2θ = 38.4°, I = 72
- 2θ = 19.2°, I = 66
- 2θ = 18.1°, I = 51
- 2θ = 36.9°, I = 46
- 2θ = 31.5°, I = 38
- 2θ = 31.8°, I = 38
- 2θ = 20.6°, I = 36

Entry 5:
# Pu2ScPd9
Calculated powder XRD pattern, CuKα. Input: a DFT-relaxed cell (PBE, Alexandria).
Peak positions follow from Bragg's law for the DFT cell and can differ from measured ones.

Atomic structure:
Cell lengths 4.1003, 4.1003, 12.2910 Å; angles 90.00, 90.00, 90.00 degrees
Positions (direct):
Pu 0.0000 0.0000 0.1710
Pu 0.0000 0.0000 0.8290
Sc 0.0000 0.0000 0.5000
Pd 0.0000 0.5000 0.0000
Pd 0.0000 0.5000 0.3398
Pd 0.0000 0.5000 0.6602
Pd 0.5000 0.0000 0.0000
Pd 0.5000 0.0000 0.3398
Pd 0.5000 0.0000 0.6602
Pd 0.5000 0.5000 0.1702
Pd 0.5000 0.5000 0.5000
Pd 0.5000 0.5000 0.8298

The 10 most intense peaks (2θ = 10–80°), most intense first:
- 2θ = 38.0°, I = 100
- 2θ = 44.2°, I = 49
- 2θ = 77.2°, I = 37
- 2θ = 64.3°, I = 31
- 2θ = 22.9°, I = 5
- 2θ = 26.1°, I = 5
- 2θ = 21.7°, I = 5
- 2θ = 30.8°, I = 4
- 2θ = 14.4°, I = 4
- 2θ = 34.2°, I = 4

Entry 6:
# PuSc2Pd9
Calculated powder XRD pattern, CuKα. Input: a DFT-relaxed cell (PBE, Alexandria).
Peak positions follow from Bragg's law for the DFT cell and can differ from measured ones.

Atomic structure:
Cell lengths 4.0558, 4.0558, 12.1542 Å; angles 90.00, 90.00, 90.00 degrees
Positions (direct):
Pu 0.0000 0.0000 0.0000
Sc 0.0000 0.0000 0.3391
Sc 0.0000 0.0000 0.6609
Pd 0.0000 0.5000 0.1731
Pd 0.0000 0.5000 0.5000
Pd 0.0000 0.5000 0.8269
Pd 0.5000 0.0000 0.1731
Pd 0.5000 0.0000 0.5000
Pd 0.5000 0.0000 0.8269
Pd 0.5000 0.5000 0.0000
Pd 0.5000 0.5000 0.3371
Pd 0.5000 0.5000 0.6629

The 10 most intense peaks (2θ = 10–80°), most intense first:
- 2θ = 38.5°, I = 100
- 2θ = 44.7°, I = 49
- 2θ = 78.2°, I = 36
- 2θ = 65.1°, I = 31
- 2θ = 23.1°, I = 8
- 2θ = 26.4°, I = 5
- 2θ = 14.6°, I = 4
- 2θ = 34.6°, I = 4
- 2θ = 37.0°, I = 4
- 2θ = 32.1°, I = 4

Entry 7:
# Pu3Si2Pd2
Calculated powder XRD pattern, CuKα. Input: a DFT-relaxed cell (PBE, Alexandria).
Peak positions follow from Bragg's law for the DFT cell and can differ from measured ones.

Atomic structure:
Cell lengths 5.6198, 7.9569, 12.9080 Å; angles 90.00, 90.00, 90.00 degrees
Positions (direct):
Pu 0.1252 0.1114 0.1036
Pu 0.1252 0.1114 0.3964
Pu 0.1252 0.3886 0.6036
Pu 0.1252 0.3886 0.8964
Pu 0.3342 0.7442 0.7500
Pu 0.3342 0.7558 0.2500
Pu 0.6658 0.2442 0.7500
Pu 0.6658 0.2558 0.2500
Pu 0.8748 0.6114 0.1036
Pu 0.8748 0.6114 0.3964
Pu 0.8748 0.8886 0.6036
Pu 0.8748 0.8886 0.8964
Si 0.1564 0.1013 0.7500
Si 0.1564 0.3987 0.2500
Si 0.3264 0.7500 0.0000
Si 0.3264 0.7500 0.5000
Si 0.6736 0.2500 0.0000
Si 0.6736 0.2500 0.5000
Si 0.8436 0.6013 0.7500
Si 0.8436 0.8987 0.2500
Pd 0.3881 0.0413 0.5915
Pd 0.3881 0.0413 0.9085
Pd 0.3881 0.4587 0.0915
Pd 0.3881 0.4587 0.4085
Pd 0.6119 0.5413 0.5915
Pd 0.6119 0.5413 0.9085
Pd 0.6119 0.9587 0.0915
Pd 0.6119 0.9587 0.4085

The 10 most intense peaks (2θ = 10–80°), most intense first:
- 2θ = 34.6°, I = 100
- 2θ = 40.0°, I = 89
- 2θ = 34.0°, I = 76
- 2θ = 37.5°, I = 67
- 2θ = 23.8°, I = 56
- 2θ = 33.8°, I = 52
- 2θ = 28.4°, I = 47
- 2θ = 57.5°, I = 39
- 2θ = 30.6°, I = 38
- 2θ = 35.8°, I = 38

Entry 8:
# PuSi4Pd4
Calculated powder XRD pattern, CuKα. Input: a DFT-relaxed cell (PBE, Alexandria).
Peak positions follow from Bragg's law for the DFT cell and can differ from measured ones.

Atomic structure:
Cell lengths 6.0280, 6.0280, 8.2533 Å; angles 90.00, 90.00, 90.00 degrees
Positions (direct):
Pu 0.2500 0.7500 0.2500
Pu 0.7500 0.2500 0.7500
Si 0.0498 0.2500 0.0707
Si 0.2500 0.0498 0.5707
Si 0.2500 0.4502 0.5707
Si 0.4502 0.2500 0.0707
Si 0.5498 0.7500 0.9293
Si 0.7500 0.5498 0.4293
Si 0.7500 0.9502 0.4293
Si 0.9502 0.7500 0.9293
Pd 0.0159 0.2500 0.3677
Pd 0.2500 0.0159 0.8677
Pd 0.2500 0.4841 0.8677
Pd 0.4841 0.2500 0.3677
Pd 0.5159 0.7500 0.6323
Pd 0.7500 0.5159 0.1323
Pd 0.7500 0.9841 0.1323
Pd 0.9841 0.7500 0.6323

The 10 most intense peaks (2θ = 10–80°), most intense first:
- 2θ = 35.0°, I = 100
- 2θ = 35.9°, I = 38
- 2θ = 30.1°, I = 25
- 2θ = 62.7°, I = 22
- 2θ = 26.2°, I = 18
- 2θ = 44.6°, I = 18
- 2θ = 56.1°, I = 17
- 2θ = 56.7°, I = 17
- 2θ = 61.5°, I = 13
- 2θ = 31.6°, I = 13

Entry 9:
# Pu3Si2Pd
Calculated powder XRD pattern, CuKα. Input: a DFT-relaxed cell (PBE, Alexandria).
Peak positions follow from Bragg's law for the DFT cell and can differ from measured ones.

Atomic structure:
Cell lengths 8.1841, 7.7723, 8.6730 Å; angles 90.00, 120.48, 90.00 degrees
Positions (direct):
Pu 0.1032 0.0017 0.2920
Pu 0.1032 0.4983 0.7920
Pu 0.2377 0.5114 0.2563
Pu 0.2377 0.9886 0.7563
Pu 0.3544 0.6958 0.5206
Pu 0.3544 0.8042 0.0206
Pu 0.6456 0.1958 0.9794
Pu 0.6456 0.3042 0.4794
Pu 0.7623 0.0114 0.2437
Pu 0.7623 0.4886 0.7437
Pu 0.8968 0.5017 0.2080
Pu 0.8968 0.9983 0.7080
Si 0.0067 0.2495 0.5013
Si 0.0067 0.2505 0.0013
Si 0.4983 0.0452 0.6308
Si 0.4983 0.4548 0.1308
Si 0.5017 0.5452 0.8692
Si 0.5017 0.9548 0.3692
Si 0.9933 0.7495 0.9987
Si 0.9933 0.7505 0.4987
Pd 0.3391 0.1784 0.1177
Pd 0.3391 0.3216 0.6177
Pd 0.6609 0.6784 0.3823
Pd 0.6609 0.8216 0.8823

The 10 most intense peaks (2θ = 10–80°), most intense first:
- 2θ = 33.3°, I = 100
- 2θ = 35.6°, I = 62
- 2θ = 26.2°, I = 34
- 2θ = 16.7°, I = 27
- 2θ = 51.5°, I = 26
- 2θ = 43.3°, I = 23
- 2θ = 38.8°, I = 23
- 2θ = 30.9°, I = 20
- 2θ = 20.5°, I = 20
- 2θ = 36.7°, I = 19

Entry 10:
# Pu2Si7Pd12
Calculated powder XRD pattern, CuKα. Input: a DFT-relaxed cell (PBE, Alexandria).
Peak positions follow from Bragg's law for the DFT cell and can differ from measured ones.

Atomic structure:
Cell lengths 10.0227, 10.0227, 3.8430 Å; angles 90.00, 90.00, 120.00 degrees
Positions (direct):
Pu 0.0000 0.0000 0.0000
Pu 0.3333 0.6667 0.5000
Si 0.0736 0.6229 0.0000
Si 0.2593 0.0460 0.5000
Si 0.3771 0.4507 0.0000
Si 0.5493 0.9264 0.0000
Si 0.6667 0.3333 0.5000
Si 0.7867 0.7407 0.5000
Si 0.9540 0.2133 0.5000
Pd 0.0435 0.7718 0.5000
Pd 0.1043 0.3859 0.0000
Pd 0.2282 0.2718 0.5000
Pd 0.2816 0.8957 0.0000
Pd 0.4367 0.2371 0.0000
Pd 0.5110 0.0615 0.5000
Pd 0.5506 0.4890 0.5000
Pd 0.6141 0.7184 0.0000
Pd 0.7282 0.9565 0.5000
Pd 0.7629 0.1996 0.0000
Pd 0.8004 0.5633 0.0000
Pd 0.9385 0.4494 0.5000

The 10 most intense peaks (2θ = 10–80°), most intense first:
- 2θ = 36.0°, I = 100
- 2θ = 48.0°, I = 17
- 2θ = 27.2°, I = 17
- 2θ = 47.3°, I = 15
- 2θ = 69.7°, I = 11
- 2θ = 61.5°, I = 10
- 2θ = 25.3°, I = 10
- 2θ = 35.8°, I = 10
- 2θ = 44.4°, I = 8
- 2θ = 41.6°, I = 7

Entry 11:
# Pu3Si2Pd3
Calculated powder XRD pattern, CuKα. Input: a DFT-relaxed cell (PBE, Alexandria).
Peak positions follow from Bragg's law for the DFT cell and can differ from measured ones.

Atomic structure:
Cell lengths 7.7886, 14.8545, 5.6088 Å; angles 90.00, 90.00, 90.00 degrees
Positions (direct):
Pu 0.0305 0.1108 0.1282
Pu 0.0305 0.3892 0.1282
Pu 0.1692 0.2500 0.6062
Pu 0.3308 0.7500 0.1062
Pu 0.4695 0.6108 0.6282
Pu 0.4695 0.8892 0.6282
Pu 0.5305 0.1108 0.3718
Pu 0.5305 0.3892 0.3718
Pu 0.6692 0.2500 0.8938
Pu 0.8308 0.7500 0.3938
Pu 0.9695 0.6108 0.8718
Pu 0.9695 0.8892 0.8718
Si 0.1215 0.6055 0.3582
Si 0.1215 0.8945 0.3582
Si 0.3785 0.1055 0.8582
Si 0.3785 0.3945 0.8582
Si 0.6215 0.6055 0.1418
Si 0.6215 0.8945 0.1418
Si 0.8785 0.1055 0.6418
Si 0.8785 0.3945 0.6418
Pd 0.1684 0.0332 0.5999
Pd 0.1684 0.4668 0.5999
Pd 0.1845 0.7500 0.5976
Pd 0.3155 0.2500 0.0976
Pd 0.3316 0.5332 0.0999
Pd 0.3316 0.9668 0.0999
Pd 0.6684 0.0332 0.9001
Pd 0.6684 0.4668 0.9001
Pd 0.6845 0.7500 0.9024
Pd 0.8155 0.2500 0.4024
Pd 0.8316 0.5332 0.4001
Pd 0.8316 0.9668 0.4001

The 10 most intense peaks (2θ = 10–80°), most intense first:
- 2θ = 33.3°, I = 100
- 2θ = 31.1°, I = 82
- 2θ = 38.2°, I = 61
- 2θ = 34.5°, I = 50
- 2θ = 34.0°, I = 42
- 2θ = 38.7°, I = 42
- 2θ = 37.1°, I = 39
- 2θ = 28.5°, I = 29
- 2θ = 24.0°, I = 24
- 2θ = 42.0°, I = 23